[1]
LiMg15: simulated powder diffractogram (Cu Kα), based on a DFT-relaxed cell (PBE, the Materials Project).

Most intense lines, 10° ≤ 2θ ≤ 90°, in order of rising 2θ:
| Position (°2θ) | I (rel.) | index |
| --- | --- | --- |
| 32.5 | 24 | 2 0 0 |
| 34.8 | 26 | 0 0 4 |
| 37.0 | 100 | 2 0 2 |
| 48.3 | 15 | 2 0 4 |
| 57.9 | 17 | 2 2 0 |
| 63.8 | 19 | 2 0 6 |
| 69.4 | 19 | 2 2 4 |
| 70.7 | 13 | 4 0 2 |
| 78.7 | 3 | 4 0 4 |
| 82.5 | 3 | 2 0 8 |

Structure:
```
data_LiMg15
_chemical_formula_sum 'Li1 Mg15'
_symmetry_space_group_name_H-M 'P -6 m 2'
_symmetry_Int_Tables_number 187
_symmetry_space_group_name_Hall 'P -6 2'
_cell_length_a 6.3662
_cell_length_b 6.3662
_cell_length_c 10.3259
_cell_angle_alpha 90.00
_cell_angle_beta 90.00
_cell_angle_gamma 120.00
loop_
_atom_site_label
_atom_site_fract_x
_atom_site_fract_y
_atom_site_fract_z
Li1 0.0000 0.0000 0.0000
Mg1 0.0000 0.0000 0.5000
Mg2 0.0003 0.5001 0.0000
Mg3 0.0001 0.5000 0.5000
Mg4 0.1662 0.3324 0.2499
Mg5 0.6667 0.3333 0.2503
```

***

[2]
Li3Sn2P3O12: simulated powder diffractogram (Cu Kα), based on a DFT-relaxed cell (PBE, the Materials Project).

Most intense lines, 10° ≤ 2θ ≤ 90°, in order of rising 2θ:
| Position (°2θ) | I (rel.) | index |
| --- | --- | --- |
| 13.5 | 71 | 0 1 2 |
| 17.8 | 43 | 1 0 4 |
| 20.5 | 39 | 1 1 0 |
| 22.8 | 29 | 2 -1 3 |
| 27.3 | 25 | 0 2 4 |
| 28.8 | 100 | 1 1 6 |
| 35.9 | 31 | 3 0 0 |
| 41.6 | 23 | 0 2 10 |
| 46.6 | 24 | 4 -2 6 |
| 56.1 | 26 | 1 3 10 |

Structure:
```
data_Li3Sn2P3O12
_chemical_formula_sum 'Li18 Sn12 P18 O72'
_symmetry_space_group_name_H-M 'R -3'
_symmetry_Int_Tables_number 148
_symmetry_space_group_name_Hall '-R 3'
_cell_length_a 8.6748
_cell_length_b 8.6748
_cell_length_c 26.5751
_cell_angle_alpha 90.00
_cell_angle_beta 90.00
_cell_angle_gamma 120.00
loop_
_atom_site_label
_atom_site_fract_x
_atom_site_fract_y
_atom_site_fract_z
Li1 0.0101 0.2923 0.0471
Sn1 0.0000 0.0000 0.1630
Sn2 0.0000 0.0000 0.3425
P1 0.0186 0.3073 0.2599
O1 0.0362 0.2272 0.2109
O2 0.0674 0.8228 0.0756
O3 0.0845 0.8502 0.6991
O4 0.1001 0.5539 0.0519
```

***

[3]
CaSn2N2: simulated powder diffractogram (Cu Kα), based on a DFT-relaxed cell (PBE, the Materials Project).

Most intense lines, 10° ≤ 2θ ≤ 90°, in order of rising 2θ:
| Position (°2θ) | I (rel.) | index |
| --- | --- | --- |
| 20.1 | 36 | 0 0 2 |
| 25.5 | 86 | 1 0 0 |
| 27.4 | 75 | 1 0 1 |
| 30.4 | 42 | 0 0 3 |
| 32.7 | 100 | 1 0 2 |
| 36.3 | 58 | 1 1 0 |
| 40.1 | 48 | 1 0 3 |
| 48.1 | 69 | 1 1 3 |
| 52.3 | 29 | 2 0 0 |
| 63.0 | 30 | 2 1 2 |

Structure:
```
data_CaSn2N2
_chemical_formula_sum 'Ca1 Sn2 N2'
_symmetry_space_group_name_H-M 'P -4 m 2'
_symmetry_Int_Tables_number 115
_cell_length_a 3.4990
_cell_length_b 3.4990
_cell_length_c 8.8214
_cell_angle_alpha 90.00
_cell_angle_beta 90.00
_cell_angle_gamma 90.00
loop_
_symmetry_equiv_pos_as_xyz
'x,y,z'
'y,-x,-z'
'-x,-y,z'
'-y,x,-z'
'-x,y,z'
'-y,-x,-z'
'x,-y,z'
'y,x,-z'
loop_
_atom_site_label
_atom_site_fract_x
_atom_site_fract_y
_atom_site_fract_z
Ca1 0.0000 0.0000 0.0000
Sn1 0.5000 0.5000 0.3160
N1 0.0000 0.5000 0.8235
```

***

[4]
Sc2IrPd: simulated powder diffractogram (Cu Kα), based on a DFT-relaxed cell (PBE, the Materials Project).

Most intense lines, 10° ≤ 2θ ≤ 90°, in order of rising 2θ:
| Position (°2θ) | I (rel.) | index |
| --- | --- | --- |
| 23.5 | 10 | 1 1 1 |
| 27.2 | 37 | 2 0 0 |
| 38.9 | 100 | 2 2 0 |
| 46.0 | 6 | 3 1 1 |
| 48.2 | 11 | 2 2 2 |
| 56.2 | 17 | 4 0 0 |
| 63.6 | 15 | 4 2 0 |
| 70.5 | 34 | 4 2 2 |
| 83.6 | 11 | 4 4 0 |
| 89.9 | 8 | 6 0 0 |

Structure:
```
data_Sc2IrPd
_chemical_formula_sum 'Sc8 Ir4 Pd4'
_symmetry_space_group_name_H-M 'F m -3 m'
_symmetry_Int_Tables_number 225
_symmetry_space_group_name_Hall '-F 4 2 3'
_cell_length_a 6.5458
_cell_length_b 6.5458
_cell_length_c 6.5458
_cell_angle_alpha 90.00
_cell_angle_beta 90.00
_cell_angle_gamma 90.00
loop_
_atom_site_label
_atom_site_fract_x
_atom_site_fract_y
_atom_site_fract_z
Sc1 0.2500 0.2500 0.2500
Ir1 0.0000 0.0000 0.0000
Pd1 0.0000 0.0000 0.5000
```

***

[5]
Sc4BC4: simulated powder diffractogram (Cu Kα), based on a DFT-relaxed cell (PBE, the Materials Project).

Most intense lines, 10° ≤ 2θ ≤ 90°, in order of rising 2θ:
| Position (°2θ) | I (rel.) | index |
| --- | --- | --- |
| 11.4 | 16 | 0 0 4 |
| 29.2 | 22 | 1 0 4 |
| 34.7 | 35 | 0 0 12 |
| 35.5 | 95 | 1 0 8 |
| 38.3 | 100 | 1 1 0 |
| 52.6 | 36 | 1 1 12 |
| 55.2 | 29 | 2 0 0 |
| 62.0 | 19 | 1 1 16 |
| 66.9 | 16 | 2 0 12 |
| 67.4 | 27 | 2 1 8 |

Structure:
```
data_Sc4BC4
_chemical_formula_sum 'Sc12 B3 C12'
_symmetry_space_group_name_H-M 'P 4/m m m'
_symmetry_Int_Tables_number 123
_symmetry_space_group_name_Hall '-P 4 2'
_cell_length_a 3.3260
_cell_length_b 3.3260
_cell_length_c 31.0516
_cell_angle_alpha 90.00
_cell_angle_beta 90.00
_cell_angle_gamma 90.00
loop_
_atom_site_label
_atom_site_fract_x
_atom_site_fract_y
_atom_site_fract_z
Sc1 0.0000 0.0000 0.0514
Sc2 0.0000 0.0000 0.1953
Sc3 0.0000 0.0000 0.3045
Sc4 0.0000 0.0000 0.4455
Sc5 0.5000 0.5000 0.1243
Sc6 0.5000 0.5000 0.3750
B1 0.5000 0.5000 0.2500
B2 0.5000 0.5000 0.5000
C1 0.0000 0.0000 0.1255
C2 0.0000 0.0000 0.3750
C3 0.5000 0.5000 0.0474
C4 0.5000 0.5000 0.2032
C5 0.5000 0.5000 0.2972
C6 0.5000 0.5000 0.4529
```